Diffraction record for Pr4NdPd2. The powder diffractogram is calculated, not measured: it uses a DFT-relaxed cell (PBE, Alexandria) and copper Kα.
Peak positions follow from Bragg's law for the DFT cell and can differ from measured ones.

Largest 12 diffraction maxima, by angle, 5° ≤ 2θ ≤ 70°:
2θ (°)  Rel. int.
26.6  25.2
29.1  27.5
29.4  30.8
29.8  84.0
32.4  78.6
32.8  100.0
32.9  34.3
35.6  73.9
37.3  59.8
52.9  25.0
54.9  29.7
65.4  27.7

Atomic structure:
a b c (Å): 8.1913 6.6915 8.2001
angles (deg): 90.00 110.43 90.00
Sites, in units of the cell vectors:
Pr (0.0505, 0.2500, 0.0752)
Pr (0.2983, 0.9998, 0.7980)
Pr (0.2983, 0.5002, 0.7980)
Pr (0.4252, 0.2500, 0.4511)
Pr (0.5748, 0.7500, 0.5489)
Pr (0.7017, 0.0002, 0.2020)
Pr (0.7017, 0.4998, 0.2020)
Pr (0.9495, 0.7500, 0.9248)
Nd (0.1427, 0.7500, 0.3570)
Nd (0.8573, 0.2500, 0.6430)
Pd (0.0666, 0.2500, 0.4328)
Pd (0.3613, 0.7500, 0.1376)
Pd (0.6387, 0.2500, 0.8624)
Pd (0.9334, 0.7500, 0.5672)

***

Diffraction record for PrEr2In9. The powder diffractogram is calculated, not measured: it uses a DFT-relaxed cell (PBE, Alexandria) and copper Kα.
Peak positions follow from Bragg's law for the DFT cell and can differ from measured ones.

Largest 11 diffraction maxima, by angle, 5° ≤ 2θ ≤ 70°:
2θ (°)  Rel. int.
6.3  0.8
19.0  1.9
27.1  1.6
33.3  100.0
38.6  49.8
43.4  1.0
47.8  0.8
55.8  33.3
66.5  26.0
66.6  12.5
69.9  11.1

Atomic structure:
a b c (Å): 4.6644 4.6644 13.9619
angles (deg): 90.00 90.00 90.00
Sites, in units of the cell vectors:
Pr (0.0000, 0.0000, 0.0000)
Er (0.0000, 0.0000, 0.3357)
Er (0.0000, 0.0000, 0.6643)
In (0.0000, 0.5000, 0.1721)
In (0.0000, 0.5000, 0.5000)
In (0.0000, 0.5000, 0.8279)
In (0.5000, 0.0000, 0.1721)
In (0.5000, 0.0000, 0.5000)
In (0.5000, 0.0000, 0.8279)
In (0.5000, 0.5000, 0.0000)
In (0.5000, 0.5000, 0.3347)
In (0.5000, 0.5000, 0.6653)

***

Diffraction record for LiPa2NO4. The powder diffractogram is calculated, not measured: it uses a DFT-relaxed cell (PBE, Alexandria) and copper Kα.
Peak positions follow from Bragg's law for the DFT cell and can differ from measured ones.

Largest 12 diffraction maxima, by angle, 5° ≤ 2θ ≤ 70°:
2θ (°)  Rel. int.
19.1  67.2
19.7  69.3
28.0  58.5
29.2  51.7
29.6  45.5
30.2  100.0
34.1  39.7
36.3  27.9
40.4  57.3
42.3  41.5
44.6  32.4
50.3  32.6

Atomic structure:
a b c (Å): 5.2230 5.2230 6.6196
angles (deg): 112.97 112.97 37.27
Sites, in units of the cell vectors:
Li (0.0000, 0.0000, 0.0000)
Pa (0.1777, 0.1777, 0.7113)
Pa (0.8223, 0.8223, 0.2887)
N (0.5000, 0.5000, 0.5000)
O (0.1843, 0.1843, 0.3130)
O (0.3647, 0.3647, 0.0640)
O (0.6353, 0.6353, 0.9360)
O (0.8157, 0.8157, 0.6870)

***

Diffraction record for Na4SrCd4. The powder diffractogram is calculated, not measured: it uses a DFT-relaxed cell (PBE, Alexandria) and copper Kα.
Peak positions follow from Bragg's law for the DFT cell and can differ from measured ones.

Largest 12 diffraction maxima, by angle, 5° ≤ 2θ ≤ 70°:
2θ (°)  Rel. int.
16.5  39.4
24.0  37.2
25.9  100.0
27.8  30.6
28.7  51.0
34.9  27.9
35.2  52.3
35.6  32.3
38.9  37.8
40.2  24.2
45.2  26.8
57.2  23.6

Atomic structure:
a b c (Å): 7.2616 7.2616 10.7494
angles (deg): 90.00 90.00 90.00
Sites, in units of the cell vectors:
Na (0.0173, 0.2500, 0.1606)
Na (0.2500, 0.0173, 0.6606)
Na (0.2500, 0.4827, 0.6606)
Na (0.4827, 0.2500, 0.1606)
Na (0.5173, 0.7500, 0.8394)
Na (0.7500, 0.5173, 0.3394)
Na (0.7500, 0.9827, 0.3394)
Na (0.9827, 0.7500, 0.8394)
Sr (0.2500, 0.7500, 0.2500)
Sr (0.7500, 0.2500, 0.7500)
Cd (0.0463, 0.2500, 0.4563)
Cd (0.2500, 0.0463, 0.9563)
Cd (0.2500, 0.4537, 0.9563)
Cd (0.4537, 0.2500, 0.4563)
Cd (0.5463, 0.7500, 0.5437)
Cd (0.7500, 0.5463, 0.0437)
Cd (0.7500, 0.9537, 0.0437)
Cd (0.9537, 0.7500, 0.5437)

***

Diffraction record for LiPm2C2N6. The powder diffractogram is calculated, not measured: it uses a DFT-relaxed cell (PBE, Alexandria) and copper Kα.
Peak positions follow from Bragg's law for the DFT cell and can differ from measured ones.

Largest 12 diffraction maxima, by angle, 5° ≤ 2θ ≤ 70°:
2θ (°)  Rel. int.
17.1  62.0
19.5  100.0
21.8  37.3
26.4  45.0
27.3  35.9
31.8  50.3
33.0  34.0
35.4  16.5
35.7  38.4
42.7  20.1
45.9  16.4
47.2  16.2

Atomic structure:
a b c (Å): 5.8045 5.8071 6.3103
angles (deg): 65.58 65.65 71.06
Sites, in units of the cell vectors:
Li (0.0000, 0.0000, 0.0000)
Pm (0.3279, 0.3283, 0.3121)
Pm (0.6721, 0.6717, 0.6879)
C (0.2889, 0.2884, 0.7880)
C (0.7111, 0.7116, 0.2120)
N (0.0676, 0.3932, 0.7348)
N (0.3907, 0.3913, 0.8758)
N (0.3958, 0.0681, 0.7337)
N (0.6042, 0.9319, 0.2663)
N (0.6093, 0.6087, 0.1242)
N (0.9324, 0.6068, 0.2652)

***

Diffraction record for AlCrFeRe. The powder diffractogram is calculated, not measured: it uses a DFT-relaxed cell (PBE, Alexandria) and copper Kα.
Peak positions follow from Bragg's law for the DFT cell and can differ from measured ones.

Largest 7 diffraction maxima, by angle, 5° ≤ 2θ ≤ 70°:
2θ (°)  Rel. int.
26.3  60.1
30.5  11.9
43.6  100.0
51.7  29.6
54.1  3.7
63.4  15.9
69.9  12.1

Atomic structure:
a b c (Å): 4.1494 4.1494 4.1494
angles (deg): 60.00 60.00 60.00
Sites, in units of the cell vectors:
Al (0.0000, 0.0000, 0.0000)
Cr (0.2500, 0.2500, 0.2500)
Fe (0.7500, 0.7500, 0.7500)
Re (0.5000, 0.5000, 0.5000)

***

Diffraction record for La4N3. The powder diffractogram is calculated, not measured: it uses a DFT-relaxed cell (PBE, Alexandria) and copper Kα.
Peak positions follow from Bragg's law for the DFT cell and can differ from measured ones.

Largest 12 diffraction maxima, by angle, 5° ≤ 2θ ≤ 70°:
2θ (°)  Rel. int.
6.9  14.0
27.9  28.2
29.2  100.0
33.4  87.6
38.0  8.2
47.2  22.5
48.8  33.1
53.6  11.1
57.2  23.8
57.9  15.0
60.5  15.2
62.7  7.3

Atomic structure:
a b c (Å): 12.9575 12.9575 12.9575
angles (deg): 16.56 16.56 16.56
Sites, in units of the cell vectors:
La (0.1157, 0.1157, 0.1157)
La (0.3716, 0.3716, 0.3716)
La (0.6284, 0.6284, 0.6284)
La (0.8843, 0.8843, 0.8843)
N (0.0000, 0.0000, 0.0000)
N (0.2479, 0.2479, 0.2479)
N (0.7521, 0.7521, 0.7521)

***

Diffraction record for BaBe8As6. The powder diffractogram is calculated, not measured: it uses a DFT-relaxed cell (PBE, Alexandria) and copper Kα.
Peak positions follow from Bragg's law for the DFT cell and can differ from measured ones.

Largest 12 diffraction maxima, by angle, 5° ≤ 2θ ≤ 70°:
2θ (°)  Rel. int.
21.1  4.0
27.5  40.8
29.4  100.0
33.5  60.8
46.5  1.9
47.0  29.7
49.3  26.4
55.3  16.3
56.8  4.6
57.4  29.3
58.5  13.4
61.0  10.7

Atomic structure:
a b c (Å): 6.5076 6.5076 6.5076
angles (deg): 97.36 97.36 97.36
Sites, in units of the cell vectors:
Ba (0.0000, 0.0000, 0.0000)
Be (0.1761, 0.6126, 0.4824)
Be (0.3320, 0.3320, 0.3320)
Be (0.3874, 0.5176, 0.8239)
Be (0.4824, 0.1761, 0.6126)
Be (0.5176, 0.8239, 0.3874)
Be (0.6126, 0.4824, 0.1761)
Be (0.6680, 0.6680, 0.6680)
Be (0.8239, 0.3874, 0.5176)
As (0.1453, 0.2827, 0.5858)
As (0.2827, 0.5858, 0.1453)
As (0.4142, 0.8547, 0.7173)
As (0.5858, 0.1453, 0.2827)
As (0.7173, 0.4142, 0.8547)
As (0.8547, 0.7173, 0.4142)

***

Diffraction record for Nd4ErSn. The powder diffractogram is calculated, not measured: it uses a DFT-relaxed cell (PBE, Alexandria) and copper Kα.
Peak positions follow from Bragg's law for the DFT cell and can differ from measured ones.

Largest 12 diffraction maxima, by angle, 5° ≤ 2θ ≤ 70°:
2θ (°)  Rel. int.
7.5  49.8
16.6  41.8
27.3  28.6
30.3  47.2
31.2  100.0
32.7  62.2
33.0  99.7
36.4  67.7
45.2  31.7
53.9  26.3
63.5  26.2
64.4  30.5

Atomic structure:
a b c (Å): 12.1031 12.1031 6.8096
angles (deg): 90.00 90.00 153.84
Sites, in units of the cell vectors:
Nd (0.0801, 0.9199, 0.7500)
Nd (0.2009, 0.7991, 0.5029)
Nd (0.2009, 0.7991, 0.9971)
Nd (0.3541, 0.6459, 0.7500)
Nd (0.6459, 0.3541, 0.2500)
Nd (0.7991, 0.2009, 0.0029)
Nd (0.7991, 0.2009, 0.4971)
Nd (0.9199, 0.0801, 0.2500)
Er (0.0636, 0.9364, 0.2500)
Er (0.9364, 0.0636, 0.7500)
Sn (0.3315, 0.6685, 0.2500)
Sn (0.6685, 0.3315, 0.7500)

***

Diffraction record for Ag4GeS5. The powder diffractogram is calculated, not measured: it uses a DFT-relaxed cell (PBE, Alexandria) and copper Kα.
Peak positions follow from Bragg's law for the DFT cell and can differ from measured ones.

Largest 12 diffraction maxima, by angle, 5° ≤ 2θ ≤ 70°:
2θ (°)  Rel. int.
20.8  3.4
28.9  91.7
33.2  100.0
34.1  48.8
41.9  5.3
47.2  4.0
47.7  30.8
48.3  64.1
56.7  30.4
57.9  12.5
59.9  28.8
69.7  7.6

Atomic structure:
a b c (Å): 6.5813 6.5813 6.5813
angles (deg): 99.20 99.20 132.87
Sites, in units of the cell vectors:
Ag (0.1109, 0.2878, 0.3987)
Ag (0.2878, 0.8891, 0.1770)
Ag (0.7122, 0.1109, 0.8230)
Ag (0.8891, 0.7122, 0.6013)
Ge (0.5445, 0.5445, 0.0000)
S (0.2248, 0.5613, 0.7900)
S (0.4347, 0.2248, 0.6635)
S (0.5613, 0.7713, 0.3365)
S (0.7713, 0.4347, 0.2100)
S (0.9841, 0.9841, 0.0000)

***

Diffraction record for Ac5YGe4. The powder diffractogram is calculated, not measured: it uses a DFT-relaxed cell (PBE, Alexandria) and copper Kα.
Peak positions follow from Bragg's law for the DFT cell and can differ from measured ones.

Largest 12 diffraction maxima, by angle, 5° ≤ 2θ ≤ 70°:
2θ (°)  Rel. int.
24.0  71.1
28.0  59.0
28.5  30.0
29.5  100.0
32.4  24.9
37.6  47.3
39.6  26.9
43.6  22.3
44.4  32.1
49.2  25.6
50.4  21.1
67.8  24.0

Atomic structure:
a b c (Å): 10.6617 10.6617 8.3044
angles (deg): 112.89 112.89 24.64
Sites, in units of the cell vectors:
Ac (0.0000, 0.0000, 0.0000)
Ac (0.3382, 0.3382, 0.5873)
Ac (0.3385, 0.3385, 0.0870)
Ac (0.6615, 0.6615, 0.9130)
Ac (0.6618, 0.6618, 0.4127)
Y (0.0000, 0.0000, 0.5000)
Ge (0.1946, 0.1946, 0.6956)
Ge (0.5002, 0.5002, 0.2690)
Ge (0.4998, 0.4998, 0.7310)
Ge (0.8054, 0.8054, 0.3044)